Theoretical powder diffractogram of Tm2RuRh for copper Kα, from the PBE geometry in the Materials Project.
Peak positions follow from Bragg's law for the DFT cell and can differ from measured ones.

Largest 6 diffraction maxima, in order of falling intensity, 2θ = 10–80°:
h k l  Position (°2θ)  intensity
2 2 0  37.7  100
4 2 2  68.1  35
4 0 0  54.4  17
2 0 0  26.4  7
4 2 0  61.5  3
2 2 2  46.7  2

Structure:
a = 6.742 Å, b = 6.742 Å, c = 6.742 Å
α = 90.00°, β = 90.00°, γ = 90.00°
Space group Fm-3m (No. 225)
Inequivalent atoms, fractional coordinates:
Tm 0.250 0.250 0.250 [8 per cell]
Ru 0.000 0.000 0.000 [4 per cell]
Rh 0.000 0.000 0.500 [4 per cell]


Theoretical powder diffractogram of Hg2Br2N for copper Kα, from the PBE geometry in the Materials Project.
Peak positions follow from Bragg's law for the DFT cell and can differ from measured ones.

Largest 8 diffraction maxima, in order of falling intensity, 2θ = 10–80°:
h k l  Position (°2θ)  intensity
0 0 2  28.6  100
2 0 2  40.9  59
1 0 1  20.1  29
0 0 4  59.2  27
2 0 4  67.0  24
2 0 1  32.1  17
2 2 1  52.9  17
3 0 1  46.0  14

Structure:
a = 7.2082 Å, b = 7.2082 Å, c = 6.2478 Å
α = 90.00°, β = 90.00°, γ = 120.00°
Space group P-62m (No. 189)
Inequivalent atoms, fractional coordinates:
Hg 0.0000 0.0000 0.0000 [1 per cell]
Hg 0.0000 0.4978 0.5000 [3 per cell]
Br 0.0000 0.0000 0.5000 [1 per cell]
Br 0.0000 0.3654 0.0000 [3 per cell]
N 0.3333 0.6667 0.5000 [2 per cell]


Theoretical powder diffractogram of MgSi2 for copper Kα, from the PBE geometry in the Materials Project.
Peak positions follow from Bragg's law for the DFT cell and can differ from measured ones.

Largest 8 diffraction maxima, in order of falling intensity, 2θ = 10–80°:
h k l  Position (°2θ)  intensity
0 0 4  38.2  100
1 2 -2  36.9  76
1 2 2  38.4  61
3 0 1  39.3  48
3 0 -3  44.4  38
2 2 0  38.9  32
2 2 -1  39.4  19
4 3 -2  71.1  18

Structure:
a = 7.348 Å, b = 5.993 Å, c = 9.475 Å
α = 90.00°, β = 96.55°, γ = 90.00°
Space group P2_1/m (No. 11)
Inequivalent atoms, fractional coordinates:
Mg 0.135 0.250 0.143 [2 per cell]
Mg 0.218 0.750 0.110 [2 per cell]
Mg 0.255 0.750 0.622 [2 per cell]
Mg 0.331 0.250 0.647 [2 per cell]
Si 0.046 0.547 0.373 [4 per cell]
Si 0.159 0.047 0.867 [4 per cell]
Si 0.375 0.045 0.383 [4 per cell]
Si 0.487 0.549 0.869 [4 per cell]


Theoretical powder diffractogram of NiSb2 for copper Kα, from the PBE geometry in the Materials Project.
Peak positions follow from Bragg's law for the DFT cell and can differ from measured ones.

Largest 8 diffraction maxima, in order of falling intensity, 2θ = 10–80°:
h k l  Position (°2θ)  intensity
1 1 1  32.2  100
1 2 0  32.9  77
2 1 1  43.8  54
0 3 1  49.5  34
1 0 1  28.8  28
1 2 2  59.3  28
0 0 2  47.8  23
0 1 1  27.4  18

Structure:
a = 5.351 Å, b = 6.314 Å, c = 3.803 Å
α = 90.00°, β = 90.00°, γ = 90.00°
Space group Pnnm (No. 58)
Inequivalent atoms, fractional coordinates:
Ni 0.000 0.000 0.000 [2 per cell]
Sb 0.216 0.360 0.000 [4 per cell]